# 1
Computed X-ray diffraction stick pattern
Compound: Hg6I
Radiation: Cu Ka
Structure: a PBE-relaxed structure
Intensities are scaled so that the largest is 100.

Crystal structure
```
Hg6I
1.0
4.982 0.000 0.000
0.000 4.982 0.000
0.000 0.000 8.964
Hg I
6 1
Direct
0.000 0.000 0.000
0.000 0.500 0.215
0.000 0.500 0.785
0.500 0.000 0.215
0.500 0.000 0.785
0.500 0.500 0.500
0.000 0.000 0.500
```

Largest 12 diffraction maxima, in order of rising 2θ, 2θ = 10–90°:
2θ/deg	I (rel.)
20.39	14
27.20	9
29.90	7
32.32	100
36.06	42
40.24	10
47.52	8
51.91	15
55.13	15
57.70	9
62.49	31
67.66	8

# 2
Computed X-ray diffraction stick pattern
Compound: HgI2
Radiation: Cu Ka
Structure: a PBE-relaxed structure
Intensities are scaled so that the largest is 100.

Crystal structure
```
HgI2
1.0
4.495 0.000 0.000
0.000 4.495 0.000
0.000 0.000 6.928
Hg I
1 2
Direct
0.000 0.000 0.000
0.000 0.500 0.744
0.500 0.000 0.256
```

Largest 12 diffraction maxima, in order of rising 2θ, 2θ = 10–90°:
2θ/deg	I (rel.)
12.78	34
19.75	29
23.59	100
30.95	22
32.63	17
38.44	55
40.12	25
44.08	19
47.07	31
61.12	14
68.38	10
71.78	18

# 3
Computed X-ray diffraction stick pattern
Compound: HgI2
Radiation: Cu Ka
Structure: a PBE-relaxed structure
Intensities are scaled so that the largest is 100.

Crystal structure
```
HgI2
1.0
4.506 0.000 0.000
0.000 4.506 0.000
0.000 0.000 13.526
Hg I
2 4
Direct
0.250 0.750 0.250
0.750 0.250 0.750
0.250 0.250 0.119
0.250 0.250 0.619
0.750 0.750 0.381
0.750 0.750 0.881
```

Largest 12 diffraction maxima, in order of rising 2θ, 2θ = 10–90°:
2θ/deg	I (rel.)
13.09	45
20.78	80
23.73	95
28.00	41
31.03	36
38.83	100
40.01	45
45.51	22
47.05	29
49.54	21
57.87	22
71.90	30

# 4
Computed X-ray diffraction stick pattern
Compound: Hg5I2
Radiation: Cu Ka
Structure: a PBE-relaxed structure
Intensities are scaled so that the largest is 100.

Crystal structure
```
Hg5I2
1.0
5.833 -3.490 0.000
5.833 3.490 0.000
-3.682 0.000 12.139
Hg I
10 4
Direct
0.107 0.608 0.481
0.250 0.250 0.250
0.250 0.250 0.750
0.250 0.750 0.750
0.392 0.893 0.019
0.608 0.107 0.981
0.750 0.250 0.250
0.750 0.750 0.250
0.750 0.750 0.750
0.893 0.392 0.519
0.172 0.672 0.059
0.328 0.828 0.441
0.672 0.172 0.559
0.828 0.328 0.941
```

Largest 12 diffraction maxima, in order of rising 2θ, 2θ = 10–90°:
2θ/deg	I (rel.)
15.62	33
28.57	52
29.48	100
30.20	37
31.14	60
31.53	31
39.26	16
41.43	16
45.28	19
45.40	21
47.22	16
62.26	19

# 5
Computed X-ray diffraction stick pattern
Compound: HgI3
Radiation: Cu Ka
Structure: a PBE-relaxed structure
Intensities are scaled so that the largest is 100.

Crystal structure
```
HgI3
1.0
4.726 0.000 0.000
0.000 6.014 3.230
0.000 -6.014 3.230
Hg I
1 3
Direct
0.000 0.000 0.000
0.000 0.077 0.629
0.000 0.629 0.077
0.500 0.271 0.271
```

Largest 12 diffraction maxima, in order of rising 2θ, 2θ = 10–90°:
2θ/deg	I (rel.)
15.57	88
18.78	60
24.48	100
26.16	31
29.71	51
33.61	29
36.87	90
38.08	32
44.53	44
45.46	22
49.03	25
62.78	23

# 6
Computed X-ray diffraction stick pattern
Compound: InHg3I4
Radiation: Cu Ka
Structure: a PBE-relaxed structure
Intensities are scaled so that the largest is 100.

Crystal structure
```
InHg3I4
1.0
7.593 0.000 0.000
0.000 12.936 0.000
-2.863 0.000 7.117
In Hg I
2 6 8
Direct
0.020 0.250 0.434
0.980 0.750 0.566
0.275 0.750 0.202
0.408 0.574 0.068
0.408 0.926 0.068
0.592 0.074 0.932
0.592 0.426 0.932
0.725 0.250 0.798
0.121 0.073 0.298
0.121 0.427 0.298
0.159 0.250 0.825
0.372 0.750 0.656
0.628 0.250 0.344
0.841 0.750 0.175
0.879 0.573 0.702
0.879 0.927 0.702
```

Largest 12 diffraction maxima, in order of rising 2θ, 2θ = 10–90°:
2θ/deg	I (rel.)
18.56	30
20.79	68
24.99	100
25.97	68
26.22	63
31.39	41
31.54	44
38.22	31
41.90	34
42.31	27
43.40	28
43.53	37

# 7
Computed X-ray diffraction stick pattern
Compound: In2Hg2I5
Radiation: Cu Ka
Structure: a PBE-relaxed structure
Intensities are scaled so that the largest is 100.

Crystal structure
```
In2Hg2I5
1.0
8.121 -3.009 0.000
8.121 3.009 0.000
-4.251 0.000 7.827
In Hg I
2 2 5
Direct
0.114 0.114 0.279
0.886 0.886 0.721
0.373 0.373 0.159
0.627 0.627 0.841
0.138 0.138 0.885
0.353 0.353 0.473
0.500 0.500 0.000
0.647 0.647 0.527
0.862 0.862 0.115
```

Largest 12 diffraction maxima, in order of rising 2θ, 2θ = 10–90°:
2θ/deg	I (rel.)
11.31	32
20.00	56
20.46	34
24.96	88
29.69	100
30.14	57
31.36	35
33.47	46
33.75	58
39.17	54
43.73	32
45.34	39

# 8
Computed X-ray diffraction stick pattern
Compound: In3HgI5
Radiation: Cu Ka
Structure: a PBE-relaxed structure
Intensities are scaled so that the largest is 100.

Crystal structure
```
In3HgI5
1.0
8.856 0.000 0.000
2.171 8.632 0.000
3.645 2.884 10.418
In Hg I
6 2 10
Direct
0.000 0.000 0.000
0.000 0.000 0.500
0.316 0.315 0.183
0.340 0.341 0.673
0.660 0.659 0.327
0.684 0.685 0.817
0.081 0.083 0.207
0.919 0.917 0.793
0.004 0.388 0.828
0.242 0.232 0.493
0.313 0.684 0.497
0.390 0.009 0.834
0.442 0.455 0.849
0.558 0.545 0.151
0.610 0.991 0.166
0.687 0.316 0.503
0.758 0.768 0.507
0.996 0.612 0.172
```

Largest 12 diffraction maxima, in order of rising 2θ, 2θ = 10–90°:
2θ/deg	I (rel.)
16.24	77
25.08	49
25.13	49
25.63	100
25.93	36
32.32	31
32.40	42
32.81	33
33.17	36
34.43	39
38.58	33
40.89	46

# 9
Computed X-ray diffraction stick pattern
Compound: In4Hg12I
Radiation: Cu Ka
Structure: a PBE-relaxed structure
Intensities are scaled so that the largest is 100.

Crystal structure
```
In4Hg12I
1.0
6.675 0.000 0.000
0.717 9.144 0.000
2.231 4.201 8.328
In Hg I
4 12 1
Direct
0.000 0.000 0.000
0.000 0.500 0.500
0.500 0.000 0.500
0.500 0.500 0.000
0.032 0.470 0.189
0.224 0.791 0.845
0.276 0.215 0.676
0.294 0.785 0.238
0.317 0.174 0.067
0.455 0.566 0.653
0.545 0.434 0.347
0.683 0.826 0.933
0.706 0.215 0.762
0.724 0.785 0.324
0.776 0.209 0.155
0.968 0.530 0.811
0.000 0.000 0.500
```

Largest 12 diffraction maxima, in order of rising 2θ, 2θ = 10–90°:
2θ/deg	I (rel.)
28.10	39
28.95	42
29.60	57
29.73	69
29.90	43
30.07	38
31.67	36
32.92	41
34.54	47
34.76	53
35.01	73
35.90	100

# 10
Computed X-ray diffraction stick pattern
Compound: In2Hg3I3
Radiation: Cu Ka
Structure: a PBE-relaxed structure
Intensities are scaled so that the largest is 100.

Crystal structure
```
In2Hg3I3
1.0
7.958 4.595 6.028
-7.958 4.595 6.028
0.000 -9.190 6.028
In Hg I
8 12 12
Direct
0.233 0.233 0.233
0.245 0.267 0.743
0.257 0.755 0.733
0.267 0.743 0.245
0.733 0.257 0.755
0.743 0.245 0.267
0.755 0.733 0.257
0.767 0.767 0.767
0.001 0.344 0.826
0.172 0.318 0.483
0.174 0.999 0.656
0.318 0.483 0.172
0.344 0.826 0.001
0.483 0.172 0.318
0.517 0.828 0.682
0.656 0.174 0.999
0.682 0.517 0.828
0.826 0.001 0.344
0.828 0.682 0.517
0.999 0.656 0.174
0.018 0.690 0.862
0.138 0.982 0.310
0.169 0.628 0.489
0.310 0.138 0.982
0.372 0.511 0.831
0.489 0.169 0.628
0.511 0.831 0.372
0.628 0.489 0.169
0.690 0.862 0.018
0.831 0.372 0.511
0.862 0.018 0.690
0.982 0.310 0.138
```

Largest 12 diffraction maxima, in order of rising 2θ, 2θ = 10–90°:
2θ/deg	I (rel.)
16.17	30
25.29	100
26.10	92
26.85	15
29.70	23
29.93	33
31.75	21
35.87	35
37.43	27
39.94	29
47.24	26
49.93	19

# 11
Computed X-ray diffraction stick pattern
Compound: In3Hg7I
Radiation: Cu Ka
Structure: a PBE-relaxed structure
Intensities are scaled so that the largest is 100.

Crystal structure
```
In3Hg7I
1.0
7.985 0.000 0.000
-3.993 6.916 0.000
0.000 0.000 5.979
In Hg I
3 7 1
Direct
0.189 0.379 0.000
0.189 0.811 0.000
0.621 0.811 0.000
0.333 0.667 0.436
0.402 0.201 0.215
0.534 0.069 0.669
0.534 0.466 0.669
0.799 0.201 0.215
0.799 0.598 0.215
0.931 0.466 0.669
0.000 0.000 0.646
```

Largest 12 diffraction maxima, in order of rising 2θ, 2θ = 10–90°:
2θ/deg	I (rel.)
12.80	16
29.85	100
32.63	29
34.31	19
37.56	28
39.86	21
42.01	23
45.44	19
49.95	13
53.03	13
58.18	13
66.75	22

# 12
Computed X-ray diffraction stick pattern
Compound: In3Hg4I4
Radiation: Cu Ka
Structure: a PBE-relaxed structure
Intensities are scaled so that the largest is 100.

Crystal structure
```
In3Hg4I4
1.0
4.316 0.000 0.000
0.001 4.475 0.000
2.118 0.688 21.559
In Hg I
3 4 4
Direct
0.000 0.000 0.000
0.272 0.288 0.440
0.640 0.295 0.713
0.383 0.887 0.224
0.547 0.884 0.904
0.718 0.285 0.549
0.884 0.386 0.222
0.078 0.453 0.839
0.173 0.781 0.645
0.466 0.447 0.067
0.802 0.799 0.379
```

Largest 12 diffraction maxima, in order of rising 2θ, 2θ = 10–90°:
2θ/deg	I (rel.)
12.32	19
20.62	13
23.08	11
24.78	23
26.29	16
28.78	10
30.37	41
30.82	100
31.99	30
40.36	18
41.87	26
59.56	12

Please write out number 7 again, unchanged.
Computed X-ray diffraction stick pattern
Compound: In2Hg2I5
Radiation: Cu Ka
Structure: a PBE-relaxed structure
Intensities are scaled so that the largest is 100.

Crystal structure
```
In2Hg2I5
1.0
8.121 -3.009 0.000
8.121 3.009 0.000
-4.251 0.000 7.827
In Hg I
2 2 5
Direct
0.114 0.114 0.279
0.886 0.886 0.721
0.373 0.373 0.159
0.627 0.627 0.841
0.138 0.138 0.885
0.353 0.353 0.473
0.500 0.500 0.000
0.647 0.647 0.527
0.862 0.862 0.115
```

Largest 12 diffraction maxima, in order of rising 2θ, 2θ = 10–90°:
2θ/deg	I (rel.)
11.31	32
20.00	56
20.46	34
24.96	88
29.69	100
30.14	57
31.36	35
33.47	46
33.75	58
39.17	54
43.73	32
45.34	39